Diffraction record for Tm2SbPb. The X-ray diffraction stick pattern is computed, not measured: it uses DFT lattice parameters and positions (PBE) and Cu Kα (λ = 1.5418 Å).
No peak broadening, texture or thermal motion is included.

Top 10 peaks for 2θ from 10° to 80°, by angle:
two_theta  Rel. int.
27.27  76
29.48  35
31.00  62
33.42  100
33.81  34
34.30  36
36.59  41
39.31  45
43.16  43
65.51  39

Structural model:
a b c (Å): 8.107 4.192 13.688
angles (deg): 90.00 90.00 90.00
Fractional positions:
Tm  0.179  0.250  0.008
Tm  0.181  0.750  0.768
Tm  0.319  0.250  0.268
Tm  0.321  0.750  0.508
Tm  0.679  0.250  0.492
Tm  0.681  0.750  0.732
Tm  0.819  0.250  0.232
Tm  0.821  0.750  0.992
Sb  0.076  0.750  0.162
Sb  0.424  0.250  0.662
Sb  0.576  0.750  0.338
Sb  0.924  0.250  0.838
Pb  0.042  0.250  0.421
Pb  0.458  0.750  0.921
Pb  0.542  0.250  0.079
Pb  0.958  0.750  0.579

Diffraction record for Er3HgSe. The X-ray diffraction stick pattern is computed, not measured: it uses DFT lattice parameters and positions (PBE) and Cu Kα (λ = 1.5418 Å).
No peak broadening, texture or thermal motion is included.

Top 10 peaks for 2θ from 10° to 80°, by angle:
two_theta  Rel. int.
30.50  31
30.85  69
31.14  21
31.37  41
32.55  100
34.42  24
37.56  35
44.59  20
45.92  28
46.93  17

Structural model:
a b c (Å): 8.891 3.952 15.052
angles (deg): 90.00 90.00 90.00
Fractional positions:
Er  0.024  0.250  0.111
Er  0.156  0.250  0.542
Er  0.189  0.750  0.279
Er  0.311  0.250  0.779
Er  0.344  0.750  0.042
Er  0.476  0.750  0.611
Er  0.524  0.250  0.389
Er  0.656  0.250  0.958
Er  0.689  0.750  0.221
Er  0.811  0.250  0.721
Er  0.844  0.750  0.458
Er  0.976  0.750  0.889
Hg  0.078  0.750  0.689
Hg  0.422  0.250  0.189
Hg  0.578  0.750  0.811
Hg  0.922  0.250  0.311
Se  0.182  0.250  0.948
Se  0.318  0.750  0.448
Se  0.682  0.250  0.552
Se  0.818  0.750  0.052

Diffraction record for ScV4Tc2. The X-ray diffraction stick pattern is computed, not measured: it uses DFT lattice parameters and positions (PBE) and Cu Kα (λ = 1.5418 Å).
No peak broadening, texture or thermal motion is included.

Top 10 peaks for 2θ from 10° to 80°, by angle:
two_theta  Rel. int.
14.30  11
21.44  16
28.70  55
29.68  19
32.21  25
41.07  100
41.85  51
59.44  21
60.06  33
74.84  11

Structural model:
a b c (Å): 4.398 4.398 12.388
angles (deg): 90.00 90.00 90.00
Fractional positions:
Sc  0.000  0.000  0.000
Sc  0.500  0.500  0.500
V  0.000  0.000  0.200
V  0.000  0.000  0.800
V  0.000  0.500  0.000
V  0.000  0.500  0.500
V  0.500  0.000  0.000
V  0.500  0.000  0.500
V  0.500  0.500  0.300
V  0.500  0.500  0.700
Tc  0.000  0.000  0.375
Tc  0.000  0.000  0.625
Tc  0.500  0.500  0.125
Tc  0.500  0.500  0.875

Diffraction record for YTm2PuN4. The X-ray diffraction stick pattern is computed, not measured: it uses DFT lattice parameters and positions (PBE) and Cu Kα (λ = 1.5418 Å).
No peak broadening, texture or thermal motion is included.

Top 10 peaks for 2θ from 10° to 80°, by angle:
two_theta  Rel. int.
31.88  100
36.94  47
37.06  23
53.16  8
53.33  40
63.36  15
63.49  22
63.59  7
66.57  8
66.71  8

Structural model:
a b c (Å): 5.945 3.446 5.945
angles (deg): 90.00 109.38 90.00
Fractional positions:
Y  0.000  0.000  0.000
Tm  0.500  0.000  0.500
Tm  0.500  0.500  0.000
Pu  0.000  0.500  0.500
N  0.251  0.000  0.746
N  0.252  0.500  0.256
N  0.748  0.500  0.744
N  0.749  0.000  0.254

Diffraction record for Zn4PdRh3. The X-ray diffraction stick pattern is computed, not measured: it uses DFT lattice parameters and positions (PBE) and Cu Kα (λ = 1.5418 Å).
No peak broadening, texture or thermal motion is included.

Top 10 peaks for 2θ from 10° to 80°, by angle:
two_theta  Rel. int.
29.42  3
29.52  2
42.14  100
52.25  1
61.04  11
61.27  5
69.22  1
69.41  1
76.98  21
77.13  10

Structural model:
a b c (Å): 3.036 3.036 12.103
angles (deg): 90.00 90.00 90.00
Fractional positions:
Zn  0.000  0.000  0.124
Zn  0.000  0.000  0.370
Zn  0.000  0.000  0.630
Zn  0.000  0.000  0.876
Pd  0.500  0.500  0.500
Rh  0.500  0.500  0.000
Rh  0.500  0.500  0.248
Rh  0.500  0.500  0.752

Diffraction record for Zr2Hg3Au. The X-ray diffraction stick pattern is computed, not measured: it uses DFT lattice parameters and positions (PBE) and Cu Kα (λ = 1.5418 Å).
No peak broadening, texture or thermal motion is included.

Top 10 peaks for 2θ from 10° to 80°, by angle:
two_theta  Rel. int.
21.23  18
28.77  25
36.03  77
37.21  100
47.70  40
52.76  26
66.33  26
67.09  18
72.38  29
74.58  11

Structural model:
a b c (Å): 3.103 4.830 8.375
angles (deg): 90.00 90.00 90.00
Fractional positions:
Zr  0.000  0.000  0.000
Zr  0.000  0.500  0.476
Hg  0.500  0.000  0.652
Hg  0.500  0.500  0.156
Hg  0.500  0.500  0.820
Au  0.500  0.000  0.322

Diffraction record for Tb3CdCu8. The X-ray diffraction stick pattern is computed, not measured: it uses DFT lattice parameters and positions (PBE) and Cu Kα (λ = 1.5418 Å).
No peak broadening, texture or thermal motion is included.

Top 10 peaks for 2θ from 10° to 80°, by angle:
two_theta  Rel. int.
20.92  10
34.49  76
40.67  100
40.73  35
42.62  20
61.84  21
65.99  22
66.06  15
72.63  14
72.83  16

Structural model:
a b c (Å): 9.025 9.025 9.025
angles (deg): 33.45 33.45 33.45
Fractional positions:
Tb  0.000  0.000  0.000
Tb  0.126  0.126  0.126
Tb  0.615  0.615  0.615
Cd  0.493  0.493  0.493
Cu  0.055  0.055  0.565
Cu  0.055  0.565  0.055
Cu  0.059  0.559  0.559
Cu  0.308  0.308  0.308
Cu  0.559  0.059  0.559
Cu  0.559  0.559  0.059
Cu  0.565  0.055  0.055
Cu  0.810  0.810  0.810

Diffraction record for PaIn2Cu2Te4. The X-ray diffraction stick pattern is computed, not measured: it uses DFT lattice parameters and positions (PBE) and Cu Kα (λ = 1.5418 Å).
No peak broadening, texture or thermal motion is included.

Top 10 peaks for 2θ from 10° to 80°, by angle:
two_theta  Rel. int.
10.83  54
29.66  100
29.88  51
31.77  53
32.28  43
36.11  33
39.41  29
43.00  37
47.25  25
48.39  29

Structural model:
a b c (Å): 7.997 7.997 8.636
angles (deg): 108.24 108.24 30.50
Fractional positions:
Pa  0.000  0.000  0.000
In  0.134  0.134  0.574
In  0.866  0.866  0.426
Cu  0.316  0.316  0.006
Cu  0.684  0.684  0.994
Te  0.205  0.205  0.192
Te  0.476  0.476  0.244
Te  0.524  0.524  0.756
Te  0.795  0.795  0.808